Structure and simulated X-ray powder pattern of Na2Dy3HoSe6 (a DFT-relaxed cell (PBE, Alexandria); a wavelength of 1.5418 Å).

Crystal structure
```
12
Lattice="3.5504 -6.1416 0.0000 3.5504 6.1416 0.0000 -2.3585 0.0000 6.7648" Properties=species:S:1:pos:R:3 pbc="T T T"
Na 3.5504 4.1048 0.0000
Na 3.5504 -4.1048 0.0000
Dy -1.1792 0.0000 3.3824
Dy 2.3712 2.0802 3.3824
Dy 2.3712 -2.0802 3.3824
Ho 3.5504 0.0000 0.0000
Se 0.0243 2.0165 5.0579
Se 1.2269 0.0000 1.7340
Se 0.0243 -2.0165 5.0579
Se 4.7181 2.0165 1.7068
Se 3.5154 0.0000 5.0308
Se 4.7181 -2.0165 1.7068
```

Main lines, sorted by position (2θ = 10–90°):
13.09 deg, rel. 140; 25.48 deg, rel. 82; 30.75 deg, rel. 1000; 43.87 deg, rel. 374; 44.21 deg, rel. 365; 54.82 deg, rel. 192; 64.05 deg, rel. 120; 72.50 deg, rel. 111; 72.97 deg, rel. 164; 81.16 deg, rel. 82


Structure and simulated X-ray powder pattern of Nd2AlAg6 (a DFT-relaxed cell (PBE, Alexandria); a wavelength of 1.5418 Å).

Crystal structure
```
9
Lattice="6.0988 0.0000 0.0000 -3.0494 5.2817 0.0000 0.0000 0.0000 6.0466" Properties=species:S:1:pos:R:3 pbc="T T T"
Nd 0.0000 3.5212 0.9034
Nd 3.0494 1.7606 5.1432
Al 0.0000 0.0000 0.0000
Ag 0.0000 1.8625 4.0981
Ag -1.4364 4.3505 4.0981
Ag 1.6130 0.9313 1.9486
Ag 1.4364 4.3505 4.0981
Ag 4.4858 0.9313 1.9486
Ag 3.0494 3.4192 1.9486
```

Main lines, sorted by position (2θ = 10–90°):
29.55 deg, rel. 134; 32.90 deg, rel. 228; 33.95 deg, rel. 248; 34.17 deg, rel. 413; 37.15 deg, rel. 1000; 45.61 deg, rel. 126; 54.58 deg, rel. 129; 55.13 deg, rel. 147; 60.74 deg, rel. 200; 73.40 deg, rel. 120


Structure and simulated X-ray powder pattern of Sc2Si2Pt3 (a DFT-relaxed cell (PBE, Alexandria); a wavelength of 1.5418 Å).

Crystal structure
```
14
Lattice="6.4160 0.0000 0.0000 0.0000 8.7329 0.0000 0.0000 0.0000 4.0650" Properties=species:S:1:pos:R:3 pbc="T T T"
Sc 0.7028 1.4824 0.0000
Sc 2.5052 5.8489 0.0000
Sc 3.9108 2.8840 0.0000
Sc 5.7132 7.2504 0.0000
Si 0.4802 5.6796 2.0325
Si 2.7279 1.3132 2.0325
Si 3.6882 7.4196 2.0325
Si 5.9359 3.0532 2.0325
Pt 0.0000 4.3664 0.0000
Pt 1.2209 7.9741 2.0325
Pt 1.9872 3.6077 2.0325
Pt 3.2080 0.0000 0.0000
Pt 4.4289 5.1252 2.0325
Pt 5.1952 0.7588 2.0325
```

Main lines, sorted by position (2θ = 10–90°):
20.34 deg, rel. 646; 24.66 deg, rel. 530; 27.92 deg, rel. 818; 33.19 deg, rel. 1000; 35.65 deg, rel. 742; 40.63 deg, rel. 444; 41.39 deg, rel. 509; 43.57 deg, rel. 541; 44.58 deg, rel. 497; 47.28 deg, rel. 400


Structure and simulated X-ray powder pattern of PrErTc2O8 (a DFT-relaxed cell (PBE, Alexandria); a wavelength of 1.5418 Å).

Crystal structure
```
12
Lattice="5.9037 0.0000 0.0000 -2.9518 5.1127 0.0000 0.0000 0.0000 6.9132" Properties=species:S:1:pos:R:3 pbc="T T T"
Pr 0.0000 0.0000 0.0000
Er 0.0000 0.0000 3.4566
Tc 0.0000 3.4085 5.4922
Tc 2.9518 1.7042 1.4210
O 0.0000 1.6070 5.0072
O -1.5601 4.3092 5.0072
O 1.3917 0.8035 1.9059
O 0.0000 3.4085 0.3650
O 2.9518 1.7042 6.5482
O 1.5601 4.3092 5.0072
O 4.5120 0.8035 1.9059
O 2.9518 3.5057 1.9059
```

Main lines, sorted by position (2θ = 10–90°):
17.34 deg, rel. 666; 21.62 deg, rel. 716; 30.28 deg, rel. 1000; 31.24 deg, rel. 927; 44.06 deg, rel. 520; 48.94 deg, rel. 162; 53.79 deg, rel. 195; 54.39 deg, rel. 437; 62.98 deg, rel. 174; 71.98 deg, rel. 179


Structure and simulated X-ray powder pattern of SrMgSc2Ir (a DFT-relaxed cell (PBE, Alexandria); a wavelength of 1.5418 Å).

Crystal structure
```
5
Lattice="5.0942 0.0000 0.0000 0.0000 5.0942 0.0000 0.0000 0.0000 5.2879" Properties=species:S:1:pos:R:3 pbc="T T T"
Sr 0.0000 0.0000 0.0000
Mg 2.5471 2.5471 0.0000
Sc 0.0000 2.5471 2.6440
Sc 2.5471 0.0000 2.6440
Ir 2.5471 2.5471 2.6440
```

Main lines, sorted by position (2θ = 10–90°):
16.77 deg, rel. 263; 17.41 deg, rel. 274; 24.26 deg, rel. 1000; 24.72 deg, rel. 338; 33.90 deg, rel. 262; 35.24 deg, rel. 471; 42.41 deg, rel. 170; 43.24 deg, rel. 439; 49.70 deg, rel. 347; 62.38 deg, rel. 173


Structure and simulated X-ray powder pattern of SrNd2Sn9 (a DFT-relaxed cell (PBE, Alexandria); a wavelength of 1.5418 Å).

Crystal structure
```
12
Lattice="4.8593 0.0000 0.0000 0.0000 4.8593 0.0000 0.0000 0.0000 14.1039" Properties=species:S:1:pos:R:3 pbc="T T T"
Sr 0.0000 0.0000 0.0000
Nd 0.0000 0.0000 4.7644
Nd 0.0000 0.0000 9.3395
Sn 0.0000 2.4297 2.4032
Sn 0.0000 2.4297 7.0520
Sn 0.0000 2.4297 11.7007
Sn 2.4297 0.0000 2.4032
Sn 2.4297 0.0000 7.0520
Sn 2.4297 0.0000 11.7007
Sn 2.4297 2.4297 0.0000
Sn 2.4297 2.4297 4.7171
Sn 2.4297 2.4297 9.3869
```

Main lines, sorted by position (2θ = 10–90°):
32.27 deg, rel. 1000; 37.00 deg, rel. 349; 38.29 deg, rel. 157; 53.32 deg, rel. 124; 54.30 deg, rel. 232; 63.71 deg, rel. 294; 65.46 deg, rel. 133; 67.53 deg, rel. 123; 87.70 deg, rel. 66; 89.28 deg, rel. 125